[1]
Structure and theoretical X-ray diffraction stick pattern of MgFeAuO2 (a crystal structure in the Materials Project, relaxed with GGA+U; copper Kα).
Peak positions follow from Bragg's law for the DFT cell and can differ from measured ones.

Most intense lines, 2θ from 15° to 90°, in order of rising 2θ:
(0 0 6), 21.9°, d = 4.057 Å, I 764; (0 0 9), 33.1°, d = 2.704 Å, I 388; (1 0 1), 34.0°, d = 2.640 Å, I 557; (0 1 2), 34.6°, d = 2.595 Å, I 1000; (1 0 4), 36.9°, d = 2.434 Å, I 901; (0 1 5), 38.6°, d = 2.332 Å, I 376; (1 0 7), 42.8°, d = 2.111 Å, I 378; (0 1 8), 45.3°, d = 2.001 Å, I 621; (1 1 0), 60.4°, d = 1.534 Å, I 353; (1 1 9), 70.6°, d = 1.334 Å, I 255

Crystal structure
a = 3.0670 Å, b = 3.0670 Å, c = 24.3400 Å
α = 90.00°, β = 90.00°, γ = 120.00°
Space group R3m (No. 160, hexagonal axes)
Inequivalent atoms, fractional coordinates:
Mg: 0.0000 0.0000 0.0000 (multiplicity 3)
Fe: 0.0000 0.0000 0.2251 (multiplicity 3)
Au: 0.0000 0.0000 0.7539 (multiplicity 3)
O: 0.0000 0.0000 0.6195 (multiplicity 3)
O: 0.0000 0.0000 0.8584 (multiplicity 3)

[2]
Structure and theoretical X-ray diffraction stick pattern of Na2CuMoF6 (a crystal structure in the Materials Project, relaxed with GGA+U; copper Kα).
Peak positions follow from Bragg's law for the DFT cell and can differ from measured ones.

Most intense lines, 2θ from 15° to 90°, in order of rising 2θ:
(2 0 0), 21.0°, d = 4.226 Å, I 998; (2 2 0), 29.9°, d = 2.988 Å, I 1000; (4 0 0), 42.8°, d = 2.113 Å, I 640; (4 2 0), 48.2°, d = 1.890 Å, I 397; (4 2 2), 53.1°, d = 1.725 Å, I 392; (4 4 0), 62.1°, d = 1.494 Å, I 364; (6 0 0), 66.4°, d = 1.409 Å, I 175; (6 2 0), 70.5°, d = 1.336 Å, I 166; (4 4 4), 78.4°, d = 1.220 Å, I 111; (6 4 2), 86.1°, d = 1.129 Å, I 194

Crystal structure
a = 8.4514 Å, b = 8.4514 Å, c = 8.4514 Å
α = 90.00°, β = 90.00°, γ = 90.00°
Space group Fm-3m (No. 225)
Inequivalent atoms, fractional coordinates:
Na: 0.2500 0.2500 0.2500 (multiplicity 8)
Cu: 0.0000 0.0000 0.0000 (multiplicity 4)
Mo: 0.0000 0.0000 0.5000 (multiplicity 4)
F: 0.0000 0.0000 0.2548 (multiplicity 24)

[3]
Structure and theoretical X-ray diffraction stick pattern of CaSmCr4O12 (a crystal structure in the Materials Project, relaxed with GGA+U; copper Kα).
Peak positions follow from Bragg's law for the DFT cell and can differ from measured ones.

Most intense lines, 2θ from 15° to 90°, in order of rising 2θ:
(0 1 1), 16.7°, d = 5.315 Å, I 244; (1 1 1), 20.6°, d = 4.322 Å, I 1000; (0 2 2), 33.7°, d = 2.656 Å, I 846; (2 2 0), 34.1°, d = 2.627 Å, I 451; (3 1 1), 40.2°, d = 2.245 Å, I 365; (0 0 4), 47.9°, d = 1.899 Å, I 208; (4 0 0), 49.0°, d = 1.858 Å, I 375; (2 2 4), 60.1°, d = 1.539 Å, I 173; (2 4 2), 60.8°, d = 1.522 Å, I 358; (4 0 4), 71.0°, d = 1.328 Å, I 192

Crystal structure
a = 7.4261 Å, b = 7.4370 Å, c = 7.5974 Å
α = 90.00°, β = 90.00°, γ = 90.00°
Space group Amm2 (No. 38)
Inequivalent atoms, fractional coordinates:
Ca: 0.0000 0.0000 0.0000 (multiplicity 2)
Sm: 0.5000 0.0000 0.4798 (multiplicity 2)
Cr: 0.2462 0.2498 0.2476 (multiplicity 8)
O: 0.0000 0.2140 0.2225 (multiplicity 4)
O: 0.2121 0.0000 0.7677 (multiplicity 4)
O: 0.2544 0.2153 0.4799 (multiplicity 8)
O: 0.2915 0.0000 0.2070 (multiplicity 4)
O: 0.5000 0.2062 0.7255 (multiplicity 4)

[4]
Structure and theoretical X-ray diffraction stick pattern of Ba2MgZnWO6 (a crystal structure in the Materials Project, relaxed with GGA+U; copper Kα).
Peak positions follow from Bragg's law for the DFT cell and can differ from measured ones.

Most intense lines, 2θ from 15° to 90°, in order of rising 2θ:
(0 0 1), 15.0°, d = 5.889 Å, I 122; (1 1 -1), 20.1°, d = 4.422 Å, I 337; (1 1 1), 25.1°, d = 3.550 Å, I 138; (2 0 1), 27.9°, d = 3.198 Å, I 348; (0 2 0), 28.9°, d = 3.092 Å, I 1000; (3 1 0), 30.7°, d = 2.912 Å, I 166; (1 1 -2), 31.4°, d = 2.845 Å, I 511; (2 2 1), 40.6°, d = 2.221 Å, I 260; (3 3 -1), 51.2°, d = 1.784 Å, I 128; (1 3 -2), 52.9°, d = 1.732 Å, I 131

Crystal structure
a = 10.8711 Å, b = 6.1745 Å, c = 6.4621 Å
α = 90.00°, β = 114.30°, γ = 90.00°
Space group Cm (No. 8)
Inequivalent atoms, fractional coordinates:
Ba: 0.0000 0.0000 0.0000 (multiplicity 2)
Ba: 0.1225 0.5000 0.7438 (multiplicity 2)
Mg: 0.3839 0.0000 0.0881 (multiplicity 2)
Zn: 0.2665 0.5000 0.2628 (multiplicity 2)
W: 0.2464 0.0000 0.5794 (multiplicity 2)
O: 0.0643 0.5000 0.1051 (multiplicity 2)
O: 0.0980 0.0000 0.6403 (multiplicity 2)
O: 0.3076 0.2789 0.0699 (multiplicity 4)
O: 0.3213 0.2624 0.5624 (multiplicity 4)

[5]
Structure and theoretical X-ray diffraction stick pattern of Li2VOF3 (a crystal structure in the Materials Project, relaxed with GGA+U; copper Kα).
Peak positions follow from Bragg's law for the DFT cell and can differ from measured ones.

Most intense lines, 2θ from 15° to 90°, in order of rising 2θ:
(1 1 0), 17.6°, d = 5.037 Å, I 923; (2 0 0), 18.1°, d = 4.897 Å, I 511; (1 1 1), 24.6°, d = 3.626 Å, I 1000; (3 1 0), 31.4°, d = 2.853 Å, I 282; (3 1 -1), 35.8°, d = 2.509 Å, I 134; (2 0 2), 39.2°, d = 2.300 Å, I 437; (2 2 -1), 39.7°, d = 2.271 Å, I 862; (4 2 -1), 51.6°, d = 1.772 Å, I 248; (4 2 1), 51.7°, d = 1.767 Å, I 276; (0 2 3), 61.9°, d = 1.498 Å, I 248

Crystal structure
a = 9.7931 Å, b = 5.8740 Å, c = 5.2254 Å
α = 90.00°, β = 90.31°, γ = 90.00°
Space group C2 (No. 5)
Inequivalent atoms, fractional coordinates:
Li: 0.1935 0.0000 0.0046 (multiplicity 4)
Li: 0.2049 0.7049 0.5178 (multiplicity 4)
V: 0.0000 0.2001 0.5000 (multiplicity 2)
V: 0.0000 0.4610 0.0000 (multiplicity 2)
O: 0.1090 0.2509 0.8073 (multiplicity 4)
F: 0.1270 0.4505 0.3235 (multiplicity 4)
F: 0.1305 0.7120 0.8660 (multiplicity 4)
F: 0.1371 0.9818 0.3631 (multiplicity 4)

[6]
Structure and theoretical X-ray diffraction stick pattern of KMgMn2Cr2O10 (a crystal structure in the Materials Project, relaxed with GGA+U; copper Kα).
Peak positions follow from Bragg's law for the DFT cell and can differ from measured ones.

Most intense lines, 2θ from 15° to 90°, in order of rising 2θ:
(1 1 0), 17.5°, d = 5.078 Å, I 891; (2 0 -2), 23.5°, d = 3.782 Å, I 749; (1 1 -2), 25.3°, d = 3.517 Å, I 1000; (2 0 1), 26.9°, d = 3.319 Å, I 752; (0 2 1), 31.0°, d = 2.883 Å, I 547; (3 1 -1), 31.3°, d = 2.857 Å, I 779; (1 1 2), 31.9°, d = 2.801 Å, I 476; (2 2 -1), 34.5°, d = 2.598 Å, I 650; (4 2 -3), 51.3°, d = 1.779 Å, I 615; (4 2 1), 56.1°, d = 1.640 Å, I 438

Crystal structure
a = 9.6615 Å, b = 6.2020 Å, c = 8.5486 Å
α = 90.00°, β = 113.77°, γ = 90.00°
Space group Cm (No. 8)
Inequivalent atoms, fractional coordinates:
K: 0.0000 0.0000 0.0000 (multiplicity 2)
Mg: 0.2072 0.5000 0.2211 (multiplicity 2)
Mn: 0.2621 0.2446 0.5220 (multiplicity 4)
Cr: 0.0862 0.5000 0.7818 (multiplicity 2)
Cr: 0.4386 0.0000 0.2575 (multiplicity 2)
O: 0.0760 0.2863 0.2856 (multiplicity 4)
O: 0.1936 0.5000 0.6661 (multiplicity 2)
O: 0.1967 0.0000 0.5944 (multiplicity 2)
O: 0.2010 0.5000 0.9926 (multiplicity 2)
O: 0.3214 0.0000 0.0566 (multiplicity 2)
O: 0.3424 0.5000 0.4594 (multiplicity 2)
O: 0.3543 0.0000 0.3998 (multiplicity 2)
O: 0.4748 0.2141 0.7359 (multiplicity 4)

[7]
Structure and theoretical X-ray diffraction stick pattern of KNiH9C2O10 (a crystal structure in the Materials Project, relaxed with GGA+U; copper Kα).
Peak positions follow from Bragg's law for the DFT cell and can differ from measured ones.

Most intense lines, 2θ from 15° to 90°, in order of rising 2θ:
(0 1 1), 15.6°, d = 5.694 Å, I 1000; (0 1 -1), 17.6°, d = 5.053 Å, I 632; (1 1 -1), 20.6°, d = 4.311 Å, I 866; (-1 1 1), 25.2°, d = 3.533 Å, I 921; (1 0 -2), 26.1°, d = 3.415 Å, I 780; (1 1 3), 28.4°, d = 3.142 Å, I 639; (2 0 -2), 37.6°, d = 2.394 Å, I 524; (-1 1 3), 38.1°, d = 2.363 Å, I 478; (1 3 -1), 41.8°, d = 2.162 Å, I 563; (2 0 4), 43.2°, d = 2.094 Å, I 492

Crystal structure
a = 7.0851 Å, b = 7.2086 Å, c = 9.7322 Å
α = 77.03°, β = 73.83°, γ = 66.40°
Space group P-1 (No. 2)
Inequivalent atoms, fractional coordinates:
K: 0.0001 0.2497 0.2500 (multiplicity 2)
Ni: 0.4997 0.2504 0.7500 (multiplicity 2)
H: 0.0000 0.0000 0.0000 (multiplicity 1)
H: 0.0000 0.5000 0.5000 (multiplicity 1)
H: 0.1322 0.3016 0.9367 (multiplicity 2)
H: 0.1327 0.8013 0.4369 (multiplicity 2)
H: 0.2471 0.4183 0.9916 (multiplicity 2)
H: 0.2475 0.9181 0.4921 (multiplicity 2)
H: 0.4002 0.4558 0.2499 (multiplicity 2)
H: 0.4001 0.9561 0.7499 (multiplicity 2)
H: 0.4223 0.4232 0.4147 (multiplicity 2)
H: 0.4221 0.9236 0.9148 (multiplicity 2)
C: 0.2049 0.2193 0.5865 (multiplicity 2)
C: 0.2051 0.7191 0.0865 (multiplicity 2)
O: 0.0481 0.3152 0.5162 (multiplicity 2)
O: 0.0482 0.8153 0.0164 (multiplicity 2)
O: 0.2327 0.3757 0.9053 (multiplicity 2)
O: 0.2337 0.8748 0.4059 (multiplicity 2)
O: 0.2479 0.0283 0.6309 (multiplicity 2)
O: 0.2479 0.5283 0.1308 (multiplicity 2)
O: 0.3042 0.3250 0.6041 (multiplicity 2)
O: 0.3045 0.8247 0.1042 (multiplicity 2)
O: 0.4899 0.4566 0.3138 (multiplicity 2)
O: 0.4899 0.9569 0.8139 (multiplicity 2)

[8]
Structure and theoretical X-ray diffraction stick pattern of K2Fe2P2O7F2 (a crystal structure in the Materials Project, relaxed with GGA+U; copper Kα).
Peak positions follow from Bragg's law for the DFT cell and can differ from measured ones.

Most intense lines, 2θ from 15° to 90°, in order of rising 2θ:
(1 1 1), 17.1°, d = 5.174 Å, I 453; (1 1 3), 29.5°, d = 3.031 Å, I 583; (0 2 3), 29.8°, d = 3.000 Å, I 180; (2 0 2), 30.8°, d = 2.903 Å, I 331; (2 2 1), 31.3°, d = 2.856 Å, I 979; (1 3 2), 31.7°, d = 2.822 Å, I 1000; (0 4 1), 32.5°, d = 2.755 Å, I 351; (3 3 2), 49.2°, d = 1.852 Å, I 534; (2 2 5), 53.2°, d = 1.722 Å, I 342; (2 6 0), 55.0°, d = 1.668 Å, I 266

Crystal structure
a = 6.9442 Å, b = 11.4142 Å, c = 10.5790 Å
α = 90.00°, β = 90.00°, γ = 90.00°
Space group Pbcn (No. 60)
Inequivalent atoms, fractional coordinates:
K: 0.0009 0.1734 0.0657 (multiplicity 8)
Fe: 0.0000 0.3356 0.7500 (multiplicity 4)
Fe: 0.0000 0.5000 0.0000 (multiplicity 4)
P: 0.2183 0.0793 0.7514 (multiplicity 8)
O: 0.0000 0.0220 0.7500 (multiplicity 4)
O: 0.1741 0.4872 0.6711 (multiplicity 8)
O: 0.2063 0.2008 0.6906 (multiplicity 8)
O: 0.2196 0.4168 0.3904 (multiplicity 8)
F: 0.1158 0.3443 0.9241 (multiplicity 8)

[9]
Structure and theoretical X-ray diffraction stick pattern of La2Te6WO18 (a crystal structure in the Materials Project, relaxed with GGA+U; copper Kα).
Peak positions follow from Bragg's law for the DFT cell and can differ from measured ones.

Most intense lines, 2θ from 15° to 90°, in order of rising 2θ:
(1 0 2), 17.1°, d = 5.178 Å, I 159; (0 0 6), 26.0°, d = 3.426 Å, I 732; (1 1 1), 26.1°, d = 3.413 Å, I 317; (1 1 2), 27.2°, d = 3.280 Å, I 1000; (1 1 3), 28.9°, d = 3.089 Å, I 805; (1 1 4), 31.2°, d = 2.871 Å, I 696; (1 1 8), 43.9°, d = 2.063 Å, I 215; (3 0 0), 45.4°, d = 1.998 Å, I 505; (1 1 9), 47.7°, d = 1.906 Å, I 255; (0 3 6), 53.1°, d = 1.726 Å, I 491

Crystal structure
a = 6.9213 Å, b = 6.9213 Å, c = 20.5550 Å
α = 90.00°, β = 90.00°, γ = 120.00°
Space group P3c1 (No. 158)
Inequivalent atoms, fractional coordinates:
La: 0.0000 0.0000 0.0000 (multiplicity 2)
La: 0.3333 0.6667 0.0108 (multiplicity 2)
Te: 0.0367 0.3333 0.3417 (multiplicity 6)
Te: 0.0425 0.3339 0.6693 (multiplicity 6)
W: 0.6667 0.3333 0.4775 (multiplicity 2)
O: 0.0000 0.0000 0.3550 (multiplicity 2)
O: 0.0638 0.3012 0.5796 (multiplicity 6)
O: 0.0900 0.4310 0.8163 (multiplicity 6)
O: 0.0933 0.3658 0.4324 (multiplicity 6)
O: 0.2471 0.0105 0.1948 (multiplicity 6)
O: 0.3333 0.6667 0.1583 (multiplicity 2)
O: 0.4172 0.0853 0.0070 (multiplicity 6)
O: 0.6667 0.3333 0.3886 (multiplicity 2)